For La8Pm3Y3, a PBE-relaxed structure gives the simulated powder diffractogram in this record (λ = 1.5418 Å (Cu Kα)).
Neutral-atom scattering factors, no anomalous dispersion.

Top 12 peaks for 2θ = 10–80°, in order of falling intensity:
(1 3 2), 31.0 deg, intensity 100.0; (2 0 0), 31.1 deg, intensity 52.8; (1 0 5), 33.0 deg, intensity 49.5; (1 1 4), 29.0 deg, intensity 40.4; (0 3 3), 29.7 deg, intensity 29.9; (2 3 3), 43.6 deg, intensity 22.3; (3 3 2), 55.3 deg, intensity 19.6; (2 6 0), 59.4 deg, intensity 16.0; (1 6 5), 60.5 deg, intensity 12.7; (1 2 3), 28.3 deg, intensity 12.4; (1 7 4), 65.6 deg, intensity 11.7; (0 6 0), 49.2 deg, intensity 11.1

Atomic structure:
abc: 5.7438 11.1189 15.4280
angles: 90.00 90.00 90.00
Space group Immm (No. 71)
Inequivalent atoms, fractional coordinates:
La: 0.0000 0.1561 0.2305 x8
La: 0.0000 0.3384 0.3932 x8
Pm: 0.0000 0.0000 0.0000 x2
Pm: 0.0000 0.3018 0.0000 x4
Y: 0.0000 0.0000 0.5000 x2
Y: 0.0000 0.5000 0.1766 x4

=====

For Ce2AlNi16, a PBE-relaxed structure gives the simulated powder diffractogram in this record (λ = 1.5418 Å (Cu Kα)).
Neutral-atom scattering factors, no anomalous dispersion.

Top 12 peaks for 2θ = 10–80°, in order of falling intensity:
(3 0 3), 43.9 deg, intensity 100.0; (2 2 0), 43.7 deg, intensity 51.6; (3 0 0), 37.6 deg, intensity 34.0; (0 0 6), 44.4 deg, intensity 33.5; (1 1 3), 30.8 deg, intensity 28.7; (2 2 3), 49.3 deg, intensity 27.7; (0 2 4), 38.7 deg, intensity 22.1; (2 2 6), 64.1 deg, intensity 16.5; (3 3 3), 72.2 deg, intensity 16.4; (2 1 4), 44.6 deg, intensity 11.5; (1 4 3), 63.6 deg, intensity 10.6; (2 0 5), 44.8 deg, intensity 10.6

Atomic structure:
abc: 8.2919 8.2919 12.2345
angles: 90.00 90.00 120.00
Space group R3m (No. 160, hexagonal axes)
Inequivalent atoms, fractional coordinates:
Ce: 0.0000 0.0000 0.0000 x3
Ce: 0.0000 0.0000 0.3155 x3
Al: 0.0000 0.0000 0.7418 x3
Ni: 0.0000 0.0000 0.5510 x3
Ni: 0.9999 0.2992 0.6534 x18
Ni: 0.0012 0.5006 0.4986 x9
Ni: 0.1670 0.3340 0.1422 x9
Ni: 0.1686 0.3372 0.4878 x9

=====

For RbNaTiI6, a PBE-relaxed structure gives the simulated powder diffractogram in this record (λ = 1.5418 Å (Cu Kα)).
Neutral-atom scattering factors, no anomalous dispersion.

Top 12 peaks for 2θ = 10–80°, in order of falling intensity:
(1 1 1), 25.2 deg, intensity 100.0; (2 -1 2), 32.2 deg, intensity 45.2; (3 -1 1), 36.4 deg, intensity 29.1; (3 0 0), 39.3 deg, intensity 21.5; (1 0 1), 17.2 deg, intensity 18.9; (1 1 3), 41.7 deg, intensity 17.3; (0 0 2), 22.9 deg, intensity 15.7; (1 0 0), 12.9 deg, intensity 14.7; (2 0 0), 25.9 deg, intensity 10.7; (0 0 1), 11.4 deg, intensity 10.3; (2 -1 4), 52.5 deg, intensity 9.9; (2 1 3), 49.7 deg, intensity 8.9

Atomic structure:
abc: 7.9502 7.9502 7.7614
angles: 90.00 90.00 120.00
Space group P312 (No. 149)
Inequivalent atoms, fractional coordinates:
Rb: 0.0000 0.0000 0.0000 x1
Na: 0.3333 0.6667 0.5000 x1
Ti: 0.6667 0.3333 0.5000 x1
I: 0.3930 0.0411 0.7091 x6